1.
For Li4TiCo5O12, a PBE+U-relaxed structure gives the calculated XRD peak list in this record (a wavelength of 1.5418 Å).
Intensities are scaled so that the largest is 100.

Structural model:
```
Li4TiCo5O12
1.0
4.9735 0.0000 0.0000
-0.0021 8.5668 0.0000
-1.1069 -4.2682 9.9395
Li Ti Co O
8 2 10 24
Direct
0.0000 0.0000 0.0000
0.0089 0.2594 0.5192
0.0618 0.9085 0.5115
0.4490 0.4964 0.0079
0.5002 0.1420 0.0005
0.5088 0.4062 0.5190
0.5623 0.7494 0.5122
0.9495 0.6555 0.0087
0.0017 0.4544 0.2604
0.5022 0.9551 0.2605
0.0022 0.7873 0.2602
0.0026 0.1206 0.2598
0.2524 0.5419 0.7655
0.2568 0.2064 0.7605
0.2611 0.8679 0.7527
0.5025 0.2891 0.2597
0.5021 0.6229 0.2602
0.7525 0.3751 0.7669
0.7571 0.7056 0.7591
0.7613 0.0363 0.7541
0.0966 0.4414 0.8707
0.1049 0.7624 0.8578
0.1220 0.0783 0.8566
0.1671 0.3396 0.3727
0.1801 0.0064 0.3652
0.1982 0.6775 0.3654
0.3061 0.7322 0.1547
0.3246 0.4040 0.1557
0.3375 0.0699 0.1474
0.3962 0.3298 0.6638
0.4090 0.6518 0.6608
0.4117 0.9671 0.6495
0.6019 0.5771 0.8702
0.6047 0.2504 0.8587
0.6177 0.9253 0.8558
0.6671 0.1824 0.3724
0.6800 0.5083 0.3652
0.6984 0.8376 0.3658
0.8062 0.5726 0.1549
0.8248 0.9020 0.1554
0.8374 0.2274 0.1471
0.8919 0.4819 0.6630
0.9088 0.1646 0.6618
0.9170 0.8309 0.6490
```

The 10 most intense peaks (2θ from 10° to 90°), low angle first:
d [Å], 2θ/deg, I_rel
4.970, 17.8, 100
2.463, 36.5, 8
2.437, 36.9, 16
2.360, 38.1, 14
2.095, 43.2, 9
2.048, 44.2, 8
1.918, 47.4, 17
1.884, 48.3, 8
1.604, 57.5, 10
1.433, 65.1, 9

2.
For Li4TiCo5O12, a PBE+U-relaxed structure gives the calculated XRD peak list in this record (a wavelength of 1.5418 Å).
Intensities are scaled so that the largest is 100.

Structural model:
```
Li4TiCo5O12
1.0
4.9474 0.0000 0.0000
-0.0210 8.6615 0.0000
-0.9303 -4.2881 9.9073
Li Ti Co O
8 2 10 24
Direct
0.0000 0.0000 0.0000
0.0045 0.3352 0.9995
0.4085 0.5839 0.4943
0.4194 0.2468 0.4933
0.4966 0.4987 0.9989
0.5035 0.8354 0.9993
0.9131 0.0830 0.4942
0.9193 0.7450 0.4937
0.4584 0.0384 0.7466
0.9585 0.5381 0.7465
0.2075 0.2836 0.2464
0.2077 0.6174 0.2474
0.2096 0.9484 0.2466
0.4585 0.3711 0.7464
0.4586 0.7043 0.7467
0.7066 0.4520 0.2470
0.7075 0.7832 0.2465
0.7093 0.1206 0.2456
0.9585 0.2043 0.7466
0.9586 0.8713 0.7467
0.0472 0.1688 0.3520
0.0520 0.8293 0.3505
0.0733 0.5180 0.3548
0.1357 0.0901 0.8521
0.1486 0.4189 0.8515
0.1488 0.7613 0.8523
0.2682 0.1564 0.6408
0.2685 0.8149 0.6418
0.2813 0.4855 0.6410
0.3406 0.4093 0.1409
0.3642 0.7244 0.1421
0.3735 0.0607 0.1396
0.5446 0.6650 0.3553
0.5478 0.3308 0.3480
0.5673 0.0186 0.3523
0.6359 0.5902 0.8522
0.6484 0.2612 0.8522
0.6485 0.9191 0.8517
0.7684 0.6563 0.6411
0.7686 0.3147 0.6414
0.7812 0.9854 0.6410
0.8514 0.9126 0.1406
0.8687 0.5559 0.1389
0.8711 0.2285 0.1437
```

The 10 most intense peaks (2θ from 10° to 90°), low angle first:
d [Å], 2θ/deg, I_rel
4.954, 17.9, 100
2.458, 36.6, 9
2.456, 36.6, 8
2.445, 36.8, 8
2.373, 37.9, 8
2.069, 43.8, 17
2.063, 43.9, 8
1.921, 47.3, 8
1.911, 47.6, 8
1.890, 48.1, 8

3.
For Li3Ti6Co3O16, a PBE+U-relaxed structure gives the calculated XRD peak list in this record (a wavelength of 1.5418 Å).
Intensities are scaled so that the largest is 100.

Structural model:
```
Li3Ti6Co3O16
1.0
8.4539 0.0000 0.0000
0.0000 8.4553 0.0000
-0.0067 0.0000 8.4563
Li Ti Co O
6 12 6 32
Direct
0.0018 0.0000 0.2485
0.1250 0.3773 0.3747
0.3751 0.6272 0.8749
0.6249 0.1272 0.1251
0.8750 0.8773 0.6253
0.9982 0.5000 0.7515
0.1159 0.1296 0.6148
0.1240 0.8682 0.8699
0.1300 0.6238 0.1197
0.3645 0.3832 0.6257
0.3724 0.1327 0.3691
0.3786 0.8786 0.1205
0.6214 0.3786 0.8795
0.6276 0.6327 0.6309
0.6355 0.8832 0.3743
0.8700 0.1238 0.8803
0.8760 0.3682 0.1301
0.8841 0.6296 0.3852
0.2487 0.2513 0.9977
0.2519 0.7542 0.4992
0.4989 0.0026 0.7486
0.5011 0.5026 0.2514
0.7481 0.2542 0.5008
0.7513 0.7513 0.0023
0.1077 0.6296 0.3603
0.1099 0.3946 0.1225
0.1113 0.1147 0.8623
0.1238 0.6461 0.8910
0.1279 0.8928 0.6428
0.1395 0.8627 0.1100
0.1420 0.1256 0.3949
0.1439 0.3595 0.6259
0.3571 0.6407 0.1284
0.3605 0.8800 0.8917
0.3632 0.1396 0.6135
0.3713 0.1133 0.1407
0.3788 0.3608 0.3898
0.3862 0.8891 0.3628
0.3895 0.6096 0.6223
0.3924 0.3744 0.8603
0.6076 0.8744 0.1397
0.6105 0.1096 0.3777
0.6138 0.3891 0.6372
0.6212 0.8608 0.6102
0.6287 0.6133 0.8593
0.6368 0.6396 0.3865
0.6395 0.3800 0.1083
0.6429 0.1407 0.8716
0.8561 0.8595 0.3741
0.8580 0.6256 0.6051
0.8605 0.3627 0.8900
0.8721 0.3928 0.3572
0.8762 0.1461 0.1090
0.8887 0.6147 0.1377
0.8901 0.8946 0.8775
0.8923 0.1296 0.6397
```

The 10 most intense peaks (2θ from 10° to 90°), low angle first:
d [Å], 2θ/deg, I_rel
5.979, 14.8, 17
3.782, 23.5, 21
3.451, 25.8, 14
2.989, 29.9, 39
2.549, 35.2, 100
2.114, 42.8, 21
1.726, 53.1, 13
1.627, 56.6, 38
1.495, 62.1, 50
1.101, 88.9, 16

4.
For Li4TiCo5O12, a PBE+U-relaxed structure gives the calculated XRD peak list in this record (a wavelength of 1.5418 Å).
Intensities are scaled so that the largest is 100.

Structural model:
```
Li4TiCo5O12
1.0
4.9155 0.0000 0.0000
0.0432 8.5240 0.0000
0.8517 4.2150 9.8661
Li Ti Co O
8 2 10 24
Direct
0.0000 0.0000 0.0000
0.0005 0.3341 0.9963
0.4271 0.2455 0.5100
0.4286 0.5757 0.5104
0.5013 0.4994 0.9993
0.5022 0.8330 0.9990
0.9197 0.7410 0.5110
0.9256 0.0745 0.5143
0.4667 0.0293 0.2620
0.9766 0.5421 0.2482
0.2138 0.2869 0.7550
0.2137 0.6223 0.7551
0.2141 0.9527 0.7550
0.4649 0.7039 0.2551
0.4662 0.3725 0.2540
0.7137 0.1223 0.7553
0.7138 0.4525 0.7552
0.7137 0.7870 0.7550
0.9600 0.8689 0.2563
0.9618 0.2039 0.2551
0.0608 0.8357 0.6534
0.0640 0.1678 0.6542
0.0694 0.5091 0.6542
0.1371 0.0886 0.1505
0.1544 0.7660 0.1459
0.1649 0.4336 0.1406
0.2687 0.8107 0.3635
0.2753 0.1571 0.3615
0.2900 0.4848 0.3628
0.3580 0.4088 0.8560
0.3635 0.0675 0.8560
0.3674 0.7351 0.8564
0.5608 0.3356 0.6534
0.5638 0.6673 0.6545
0.5698 0.0096 0.6539
0.6433 0.5913 0.1481
0.6520 0.2601 0.1481
0.6520 0.9192 0.1476
0.7722 0.9681 0.3713
0.7740 0.6533 0.3612
0.7771 0.3133 0.3607
0.8582 0.9089 0.8561
0.8630 0.5674 0.8561
0.8673 0.2346 0.8570
```

The 10 most intense peaks (2θ from 10° to 90°), low angle first:
d [Å], 2θ/deg, I_rel
4.933, 18.0, 100
2.433, 36.9, 8
2.422, 37.1, 16
2.334, 38.6, 21
2.126, 42.5, 7
2.055, 44.1, 8
2.048, 44.2, 8
2.041, 44.4, 8
1.894, 48.0, 9
1.890, 48.1, 17

5.
For Li4TiCo5O12, a PBE+U-relaxed structure gives the calculated XRD peak list in this record (a wavelength of 1.5418 Å).
Intensities are scaled so that the largest is 100.

Structural model:
```
Li4TiCo5O12
1.0
4.9377 0.0000 0.0000
-2.4684 4.3011 0.0000
-1.0478 -1.9178 19.7870
Li Ti Co O
8 2 10 24
Direct
0.0000 0.0000 0.0000
0.0505 0.0514 0.2594
0.3404 0.6476 0.0034
0.3948 0.7123 0.2566
0.4925 0.5116 0.4978
0.5522 0.5666 0.7580
0.8304 0.1694 0.5000
0.8960 0.2179 0.7557
0.2226 0.8451 0.6278
0.7048 0.3533 0.1301
0.0470 0.0022 0.1300
0.1090 0.4379 0.3782
0.2788 0.2772 0.8792
0.3815 0.6691 0.1301
0.4434 0.1037 0.3784
0.5520 0.4922 0.6281
0.6119 0.9453 0.8794
0.7780 0.7690 0.3783
0.8848 0.1569 0.6279
0.9448 0.6120 0.8793
0.0372 0.6562 0.0767
0.0754 0.3581 0.1817
0.0999 0.7587 0.3279
0.1355 0.1327 0.4281
0.1914 0.4605 0.5747
0.2269 0.1787 0.6846
0.2678 0.5767 0.8273
0.2901 0.9607 0.9288
0.3702 0.3349 0.0726
0.3908 0.0134 0.1822
0.4154 0.4103 0.3285
0.4714 0.7956 0.4282
0.5363 0.1253 0.5724
0.5807 0.8612 0.6825
0.5971 0.2660 0.8297
0.6205 0.6386 0.9310
0.6943 0.9759 0.0788
0.7149 0.6810 0.1884
0.7517 0.0744 0.3284
0.7873 0.4487 0.4287
0.8633 0.8119 0.5731
0.9016 0.5040 0.6803
0.9190 0.9381 0.8272
0.9799 0.2869 0.9317
```

The 10 most intense peaks (2θ from 10° to 90°), low angle first:
d [Å], 2θ/deg, I_rel
4.947, 17.9, 100
2.456, 36.6, 8
2.439, 36.8, 8
2.087, 43.4, 8
2.046, 44.3, 15
1.917, 47.4, 8
1.909, 47.6, 8
1.878, 48.5, 8
1.599, 57.6, 9
1.427, 65.4, 9